This entry pairs a crystal structure of ThCdMo3O12 with its calculated powder X-ray diffraction pattern. Radiation: Cu Kα, 1.54184 Å. Structure: a structure optimized by DFT (GGA+U).

Main lines, by angle (15 to 90 degrees two-theta):
| two_theta | intensity |
| --- | --- |
| 17.6 | 52 |
| 22.4 | 55 |
| 24.6 | 100 |
| 27.0 | 29 |
| 30.4 | 42 |
| 30.6 | 31 |
| 39.1 | 33 |
| 46.9 | 21 |
| 47.4 | 35 |
| 47.6 | 24 |

Structure:
a b c (Å): 10.107 10.107 6.425
angles (deg): 90.00 90.00 120.00
Element x y z (fractional)
Th1 0.333 0.667 0.250
Th2 0.667 0.333 0.750
Cd1 0.000 0.000 0.000
Cd2 0.000 0.000 0.500
Mo1 0.096 0.387 0.750
Mo2 0.291 0.904 0.750
Mo3 0.387 0.291 0.250
Mo4 0.613 0.709 0.750
Mo5 0.709 0.096 0.250
Mo6 0.904 0.613 0.250
O1 0.030 0.182 0.750
O2 0.058 0.576 0.250
O3 0.152 0.970 0.750
O4 0.182 0.152 0.250
O5 0.210 0.472 0.524
O6 0.210 0.472 0.976
O7 0.262 0.790 0.524
O8 0.262 0.790 0.976
O9 0.424 0.482 0.250
O10 0.472 0.262 0.024
O11 0.472 0.262 0.476
O12 0.482 0.058 0.750
O13 0.518 0.942 0.250
O14 0.528 0.738 0.524
O15 0.528 0.738 0.976
O16 0.576 0.518 0.750
O17 0.738 0.210 0.024
O18 0.738 0.210 0.476
O19 0.790 0.528 0.024
O20 0.790 0.528 0.476
O21 0.818 0.848 0.750
O22 0.848 0.030 0.250
O23 0.942 0.424 0.750
O24 0.970 0.818 0.250